No. 1
# Mg6SiNiO8
Calculated X-ray powder pattern, Cu Ka. Input: the GGA+U geometry in the Materials Project.
Peak positions follow from Bragg's law for the DFT cell and can differ from measured ones.

Most intense lines, 2θ = 10–80°, by angle:
| Position (°2θ) | intensity |
| --- | --- |
| 10.28 | 12 |
| 36.18 | 20 |
| 42.02 | 100 |
| 60.94 | 57 |
| 72.97 | 11 |
| 76.78 | 17 |

Structure:
```
Mg6SiNiO8
1.0
4.2983 0.0000 0.0000
0.0000 4.2983 0.0000
0.0000 0.0000 8.6075
Mg Si Ni O
6 1 1 8
Direct
0.0000 0.0000 0.0000
0.0000 0.5000 0.2491
0.0000 0.5000 0.7509
0.5000 0.0000 0.2491
0.5000 0.0000 0.7509
0.5000 0.5000 0.0000
0.0000 0.0000 0.5000
0.5000 0.5000 0.5000
0.0000 0.0000 0.2429
0.0000 0.0000 0.7571
0.0000 0.5000 0.0000
0.0000 0.5000 0.5000
0.5000 0.0000 0.0000
0.5000 0.0000 0.5000
0.5000 0.5000 0.2479
0.5000 0.5000 0.7521
```


No. 2
# Li2VCrO4
Calculated X-ray powder pattern, Cu Ka. Input: the GGA+U geometry in the Materials Project.
Peak positions follow from Bragg's law for the DFT cell and can differ from measured ones.

Most intense lines, 2θ = 10–80°, by angle:
| Position (°2θ) | intensity |
| --- | --- |
| 18.23 | 100 |
| 35.12 | 27 |
| 35.51 | 14 |
| 42.68 | 58 |
| 43.23 | 28 |
| 62.37 | 30 |

Structure:
```
Li2VCrO4
1.0
5.1421 0.0000 0.0000
-0.8997 5.0912 0.0000
-0.0027 -1.7685 5.7399
Li V Cr O
4 2 2 8
Direct
0.0000 0.0000 0.0000
0.0000 0.0000 0.5000
0.4983 0.0034 0.2550
0.5017 0.9966 0.7450
0.2498 0.4994 0.8754
0.7502 0.5006 0.1246
0.2496 0.4989 0.3767
0.7504 0.5011 0.6233
0.1205 0.7284 0.1888
0.1202 0.7277 0.6780
0.3748 0.2740 0.0689
0.3771 0.2761 0.5689
0.6229 0.7239 0.4311
0.6252 0.7260 0.9311
0.8798 0.2723 0.3220
0.8795 0.2716 0.8112
```


No. 3
# Li9Mn2Co5O16
Calculated X-ray powder pattern, Cu Ka. Input: the GGA+U geometry in the Materials Project.
Peak positions follow from Bragg's law for the DFT cell and can differ from measured ones.

Most intense lines, 2θ = 10–80°, by angle:
| Position (°2θ) | intensity |
| --- | --- |
| 18.13 | 100 |
| 35.45 | 15 |
| 36.49 | 25 |
| 42.58 | 29 |
| 44.03 | 53 |
| 63.41 | 15 |

Structure:
```
Li9Mn2Co5O16
1.0
2.5612 -1.4344 0.0000
2.5612 1.4344 0.0000
-0.7900 0.0000 39.1355
Li Mn Co O
9 2 5 16
Direct
0.0000 0.0000 0.0000
0.1340 0.1340 0.3775
0.2601 0.2601 0.7522
0.3242 0.3242 0.9378
0.3812 0.3812 0.1242
0.5038 0.5038 0.4981
0.6493 0.6493 0.8758
0.7668 0.7668 0.2534
0.8913 0.8913 0.6277
0.0730 0.0730 0.1888
0.1971 0.1971 0.5627
0.4501 0.4501 0.3150
0.5753 0.5753 0.6896
0.6970 0.6970 0.0639
0.8225 0.8225 0.4384
0.9460 0.9460 0.8124
0.0431 0.0431 0.0932
0.1084 0.1084 0.2856
0.1583 0.1583 0.4642
0.2336 0.2336 0.6603
0.2814 0.2814 0.8370
0.3508 0.3508 0.0365
0.4420 0.4420 0.2179
0.4869 0.4869 0.4128
0.5693 0.5693 0.5920
0.6098 0.6098 0.7867
0.6639 0.6639 0.9702
0.7043 0.7043 0.1600
0.7916 0.7916 0.3442
0.8245 0.8245 0.5331
0.9168 0.9168 0.7187
0.9826 0.9826 0.9046
```